The following is a simulated X-ray powder pattern of Ho4In3Pt. It was derived from a crystal structure in Alexandria, relaxed with GGA-PBE, using CuKα.
Neutral-atom scattering factors, no anomalous dispersion.

The 10 most intense peaks (10 to 80 degrees two-theta), in order of rising 2θ:
hkl 1 0 4, 33.98 deg, I = 100
hkl 1 1 0, 35.54 deg, I = 48
hkl 1 0 5, 38.23 deg, I = 5
hkl 0 0 8, 46.42 deg, I = 8
hkl 2 0 0, 51.14 deg, I = 17
hkl 1 1 8, 59.80 deg, I = 15
hkl 2 1 4, 62.83 deg, I = 34
hkl 2 0 8, 71.53 deg, I = 9
hkl 2 2 0, 75.24 deg, I = 5
hkl 1 0 12, 78.00 deg, I = 4

Structure:
```
data_Ho4In3Pt
_chemical_formula_sum 'Ho4 In3 Pt1'
_cell_length_a 3.572
_cell_length_b 3.572
_cell_length_c 15.649
_cell_angle_alpha 90.00
_cell_angle_beta 90.00
_cell_angle_gamma 90.00
_symmetry_space_group_name_H-M 'P 4/m m m'
_symmetry_Int_Tables_number 123
_symmetry_space_group_name_Hall '-P 4 2'
loop_
_atom_site_label
_atom_site_fract_x
_atom_site_fract_y
_atom_site_fract_z
Ho1 0.000 0.000 0.105
Ho2 0.000 0.000 0.369
In1 0.500 0.500 0.240
In2 0.500 0.500 0.500
Pt1 0.500 0.500 0.000
```